Diffraction record for CsPuRuO6. The powder XRD pattern is computed, not measured: it uses a crystal structure in Alexandria, relaxed with PBE and copper Kα.

```
CsPuRuO6
1.0
-3.622 3.916 5.315
3.622 -3.916 5.315
3.622 3.916 -5.315
Cs Pu Ru O
2 2 2 12
Cartesian
0.000 1.958 1.230
3.622 1.958 4.084
3.622 0.000 0.000
0.000 0.000 5.315
1.811 1.958 -2.657
1.811 -1.958 2.657
3.622 -1.958 3.095
2.172 -0.543 1.290
5.073 -0.543 1.290
2.172 3.373 -1.290
1.451 -0.543 4.025
3.622 1.958 0.795
0.000 1.958 4.519
2.172 4.460 1.290
1.451 0.543 6.605
-1.451 4.460 4.025
1.451 4.460 4.025
0.000 5.875 2.219
```

Top 10 peaks for 2θ = 15–90°, sorted by position:
- 2θ 23.67, rel. 18
- 2θ 24.57, rel. 17
- 2θ 27.21, rel. 100
- 2θ 27.63, rel. 21
- 2θ 28.03, rel. 41
- 2θ 28.31, rel. 45
- 2θ 28.41, rel. 33
- 2θ 29.85, rel. 43
- 2θ 44.91, rel. 21
- 2θ 48.43, rel. 47